LaFe2PbO6: theoretical X-ray diffraction stick pattern (Cu Kα (weighted mean of Kα1 and Kα2)), based on DFT lattice parameters and positions (GGA+U).
No peak broadening, texture or thermal motion is included.

```
data_LaFe2PbO6
_chemical_formula_sum 'La2 Fe4 Pb2 O12'
_space_group_name_H-M_alt 'P 1'
_space_group_IT_number 1
_space_group_name_Hall 'P 1'
_cell_length_a 7.9431
_cell_length_b 5.6703
_cell_length_c 5.5553
_cell_angle_alpha 90.00
_cell_angle_beta 90.00
_cell_angle_gamma 90.00
loop_
_atom_site_label
_atom_site_type_symbol
_atom_site_fract_x
_atom_site_fract_y
_atom_site_fract_z
La1 La 0.0000 0.2094 0.0000
La2 La 0.5000 0.7906 0.5000
Fe1 Fe 0.2497 0.2536 0.5100
Fe2 Fe 0.2503 0.7464 0.0100
Fe3 Fe 0.7503 0.2536 0.5100
Fe4 Fe 0.7497 0.7464 0.0100
Pb1 Pb 0.0000 0.7046 0.5202
Pb2 Pb 0.5000 0.2954 0.0202
O1 O 0.0000 0.2776 0.4268
O2 O 0.0000 0.7761 0.1052
O3 O 0.2021 0.9531 0.7127
O4 O 0.2049 0.4565 0.8049
O5 O 0.2951 0.5435 0.3049
O6 O 0.2979 0.0469 0.2127
O7 O 0.5000 0.2239 0.6052
O8 O 0.5000 0.7224 0.9268
O9 O 0.7021 0.0469 0.2127
O10 O 0.7049 0.5435 0.3049
O11 O 0.7951 0.4565 0.8049
O12 O 0.7979 0.9531 0.7127
```

Largest 6 diffraction maxima, in order of falling intensity, 2θ = 10–90°:
- hkl 2 1 1, 31.88°, I 100
- hkl 4 0 0, 45.71°, I 37
- hkl 2 0 0, 22.40°, I 36
- hkl 0 0 2, 32.23°, I 24
- hkl 2 1 3, 57.25°, I 22
- hkl 0 2 0, 31.56°, I 22